The following is a calculated X-ray powder pattern of NaTbEr. It was derived from a structure optimized by DFT (PBE), using Cu Kα.
Kinematic intensities with the Lorentz-polarization factor, no thermal factor.

Structure:
Lattice parameters (Å, degrees): 3.5236 6.7043 8.9036 76.59 89.92 74.81
Space group P-1 (No. 2)
Unique sites:
1 Na 0.1381 0.2276 0.0200 [2 per cell]
2 Tb 0.1943 0.1099 0.6275 [2 per cell]
3 Er 0.4700 0.5606 0.6733 [2 per cell]

The 10 most intense peaks (15° ≤ 2θ ≤ 90°), in order of rising 2θ:
2θ/deg  intensity  hkl
27.75  26  0 1 -2
28.89  49  1 1 -1
30.92  70  0 2 2
31.04  55  0 0 3
32.48  85  1 1 2
32.59  50  0 2 -1
33.23  100  1 -1 0
49.76  34  1 2 -3
56.99  29  0 4 1
61.65  27  2 3 2